# 1
# Nd3SmGa4O12
Calculated powder XRD pattern, Cu Ka. Input: a PBE-relaxed structure.
Lines closer than 0.1° are merged.

Atomic structure:
```
Nd3SmGa4O12
1.0
5.4617 0.0000 0.0000
0.0000 7.7925 0.0000
-0.0073 0.0000 5.6114
Nd Sm Ga O
3 1 4 12
Direct
0.0000 0.0000 0.0000
0.0271 0.5000 0.1052
0.5270 0.0000 0.5016
0.4993 0.5000 0.6087
0.0135 0.2510 0.5529
0.0135 0.7490 0.5529
0.5141 0.2507 0.0538
0.5141 0.7493 0.0538
0.1008 0.0000 0.5748
0.2228 0.2980 0.8447
0.2228 0.7020 0.8447
0.3083 0.2998 0.3484
0.3083 0.7002 0.3484
0.4262 0.0000 0.0764
0.6016 0.5000 0.0253
0.7216 0.2039 0.7599
0.7216 0.7961 0.7599
0.8073 0.2037 0.2589
0.8073 0.7963 0.2589
0.9193 0.5000 0.5296
```

Peak list (6 most intense, 10 to 80 degrees two-theta, in order of rising 2θ)
two_theta  Rel. int.
31.90  21
32.42  100
32.80  24
46.40  22
58.31  22
67.89  15

# 2
# SrNdGaO4
Calculated powder XRD pattern, Cu Ka. Input: a PBE-relaxed structure.
Lines closer than 0.1° are merged.

Atomic structure:
```
SrNdGaO4
1.0
3.8677 0.0000 0.0000
0.0000 3.8677 0.0000
0.0000 0.0000 12.5242
Sr Nd Ga O
2 2 2 8
Direct
0.0000 0.0000 0.0000
0.5000 0.5000 0.5000
0.0000 0.0000 0.7164
0.5000 0.5000 0.2164
0.0000 0.0000 0.3615
0.5000 0.5000 0.8615
0.0000 0.0000 0.1912
0.0000 0.0000 0.5275
0.0000 0.5000 0.3483
0.0000 0.5000 0.8483
0.5000 0.0000 0.3483
0.5000 0.0000 0.8483
0.5000 0.5000 0.0275
0.5000 0.5000 0.6912
```

Peak list (6 most intense, 10 to 80 degrees two-theta, in order of rising 2θ)
two_theta  Rel. int.
31.53  100
32.75  69
43.02  17
43.96  23
46.99  36
57.69  37

# 3
# NdGa4Os
Calculated powder XRD pattern, Cu Ka. Input: a PBE-relaxed structure.
Lines closer than 0.1° are merged.

Atomic structure:
```
NdGa4Os
1.0
9.7513 0.0000 0.0000
0.0000 8.8330 0.0000
0.0000 0.0000 7.6968
Nd Ga Os
6 24 6
Direct
0.2500 0.0000 0.1792
0.2500 0.2509 0.6612
0.2500 0.7491 0.6612
0.7500 0.0000 0.8208
0.7500 0.2509 0.3388
0.7500 0.7491 0.3388
0.0000 0.0000 0.5000
0.0613 0.5000 0.8381
0.0754 0.2633 0.3216
0.0754 0.7367 0.3216
0.0855 0.0000 0.8433
0.2500 0.3436 0.0473
0.2500 0.5000 0.3699
0.2500 0.6564 0.0473
0.4145 0.0000 0.8433
0.4246 0.2633 0.3216
0.4246 0.7367 0.3216
0.4387 0.5000 0.8381
0.5000 0.0000 0.5000
0.5613 0.5000 0.1619
0.5754 0.2633 0.6784
0.5754 0.7367 0.6784
0.5855 0.0000 0.1567
0.7500 0.3436 0.9527
0.7500 0.5000 0.6301
0.7500 0.6564 0.9527
0.9145 0.0000 0.1567
0.9246 0.2633 0.6784
0.9246 0.7367 0.6784
0.9387 0.5000 0.1619
0.0000 0.2409 0.0000
0.0000 0.5000 0.5000
0.0000 0.7591 0.0000
0.5000 0.2409 0.0000
0.5000 0.5000 0.5000
0.5000 0.7591 0.0000
```

Peak list (6 most intense, 10 to 80 degrees two-theta, in order of rising 2θ)
two_theta  Rel. int.
29.63  68
36.22  100
36.87  25
40.67  78
40.87  38
44.01  27

# 4
# Nd2Ga12Pd
Calculated powder XRD pattern, Cu Ka. Input: a PBE-relaxed structure.
Lines closer than 0.1° are merged.

Atomic structure:
```
Nd2Ga12Pd
1.0
6.1166 0.0000 0.0000
0.0000 6.1166 0.0000
0.0000 0.0000 15.6845
Nd Ga Pd
4 24 2
Direct
0.2500 0.7500 0.2482
0.2500 0.7500 0.7518
0.7500 0.2500 0.2482
0.7500 0.2500 0.7518
0.0005 0.9995 0.0881
0.9995 0.0005 0.9119
0.9995 0.4995 0.0881
0.0005 0.5005 0.9119
0.0748 0.5748 0.4288
0.0748 0.9252 0.5712
0.2500 0.2500 0.1857
0.2500 0.2500 0.3422
0.2500 0.2500 0.6578
0.2500 0.2500 0.8143
0.4252 0.5748 0.5712
0.4252 0.9252 0.4288
0.5005 0.0005 0.0881
0.4995 0.9995 0.9119
0.4995 0.5005 0.0881
0.5005 0.4995 0.9119
0.5748 0.0748 0.5712
0.5748 0.4252 0.4288
0.7500 0.7500 0.1857
0.7500 0.7500 0.3422
0.7500 0.7500 0.6578
0.7500 0.7500 0.8143
0.9252 0.0748 0.4288
0.9252 0.4252 0.5712
0.2500 0.7500 0.0000
0.7500 0.2500 0.0000
```

Peak list (6 most intense, 10 to 80 degrees two-theta, in order of rising 2θ)
two_theta  Rel. int.
30.78  75
31.40  100
37.29  47
41.77  80
45.64  37
52.77  38

# 5
# NdGaPd2
Calculated powder XRD pattern, Cu Ka. Input: a PBE-relaxed structure.
Lines closer than 0.1° are merged.

Atomic structure:
```
NdGaPd2
1.0
7.5846 0.0000 0.0000
0.0000 7.1505 0.0000
0.0000 0.0000 5.7828
Nd Ga Pd
4 4 8
Direct
0.0331 0.2500 0.1503
0.4669 0.7500 0.6503
0.5331 0.2500 0.3497
0.9669 0.7500 0.8497
0.1203 0.7500 0.3485
0.3797 0.2500 0.8485
0.6203 0.7500 0.1515
0.8797 0.2500 0.6515
0.1771 0.0530 0.5879
0.1771 0.4470 0.5879
0.3229 0.5530 0.0879
0.3229 0.9470 0.0879
0.6771 0.0530 0.9121
0.6771 0.4470 0.9121
0.8229 0.5530 0.4121
0.8229 0.9470 0.4121
```

Peak list (6 most intense, 10 to 80 degrees two-theta, in order of rising 2θ)
two_theta  Rel. int.
30.85  52
34.48  69
35.52  100
37.93  58
38.88  66
42.73  45